No. 1
For YScSO2, a PBE-relaxed structure gives the calculated powder XRD pattern in this record (CuKα).

Crystal structure
```
YScSO2
1.0
6.458 0.000 0.000
0.000 3.964 0.000
-3.123 0.000 6.700
Y Sc S O
2 2 2 4
direct
0.193 0.250 0.445
0.807 0.750 0.555
0.159 0.250 0.944
0.841 0.750 0.056
0.484 0.750 0.726
0.516 0.250 0.274
0.002 0.750 0.361
0.043 0.750 0.904
0.957 0.250 0.096
0.998 0.250 0.639
```

Top 8 peaks for 10° ≤ 2θ ≤ 90°, in order of rising 2θ:
13.21°, d 6.700, intensity 39.8; 15.14°, d 5.853, intensity 51.9; 27.17°, d 3.282, intensity 100.0; 30.93°, d 2.891, intensity 79.2; 33.12°, d 2.705, intensity 29.7; 33.39°, d 2.684, intensity 35.7; 36.08°, d 2.489, intensity 44.7; 45.78°, d 1.982, intensity 34.3

***

No. 2
For B2PPtRhC, a PBE-relaxed structure gives the calculated powder XRD pattern in this record (CuKα).

Crystal structure
```
B2PPtRhC
1.0
2.841 0.000 0.000
1.416 3.892 0.000
1.409 1.569 6.471
B P Pt Rh C
2 1 1 1 1
direct
0.000 0.000 0.000
0.444 0.404 0.707
0.502 0.767 0.226
0.274 0.921 0.531
0.247 0.423 0.079
0.000 0.227 0.773
```

Top 8 peaks for 10° ≤ 2θ ≤ 90°, in order of rising 2θ:
24.30°, d 3.664, intensity 71.3; 27.57°, d 3.235, intensity 63.5; 30.04°, d 2.975, intensity 73.5; 33.84°, d 2.649, intensity 100.0; 41.33°, d 2.185, intensity 42.4; 46.91°, d 1.937, intensity 41.6; 49.19°, d 1.852, intensity 30.6; 50.09°, d 1.821, intensity 39.3

***

No. 3
For BeZnInNiPd, a PBE-relaxed structure gives the calculated powder XRD pattern in this record (CuKα).

Crystal structure
```
BeZnInNiPd
1.0
7.598 0.000 0.000
0.000 4.265 0.000
-1.770 0.000 4.422
Be Zn In Ni Pd
2 2 2 2 2
direct
0.000 0.000 0.000
0.500 0.500 0.000
0.006 0.500 0.288
0.506 0.000 0.288
0.268 0.000 0.632
0.768 0.500 0.632
0.406 0.500 0.471
0.906 0.000 0.471
0.159 0.500 0.895
0.659 0.000 0.895
```

Top 8 peaks for 10° ≤ 2θ ≤ 90°, in order of rising 2θ:
20.08°, d 4.422, intensity 29.1; 28.56°, d 3.125, intensity 53.7; 38.09°, d 2.363, intensity 68.5; 41.94°, d 2.154, intensity 100.0; 42.39°, d 2.133, intensity 57.9; 43.59°, d 2.076, intensity 94.7; 43.97°, d 2.059, intensity 33.4; 58.29°, d 1.583, intensity 37.8

***

No. 4
For Sm6Y12Ho, a PBE-relaxed structure gives the calculated powder XRD pattern in this record (CuKα).

Crystal structure
```
Sm6Y12Ho
1.0
5.579 3.221 5.845
-5.579 3.221 5.845
0.000 -6.442 5.845
Sm Y Ho
6 12 1
direct
0.270 0.270 0.662
0.270 0.662 0.270
0.338 0.730 0.730
0.662 0.270 0.270
0.730 0.338 0.730
0.730 0.730 0.338
0.014 0.364 0.364
0.016 0.016 0.696
0.016 0.696 0.016
0.304 0.984 0.984
0.364 0.014 0.364
0.364 0.364 0.014
0.636 0.636 0.986
0.636 0.986 0.636
0.696 0.016 0.016
0.984 0.304 0.984
0.984 0.984 0.304
0.986 0.636 0.636
0.500 0.500 0.500
```

Top 8 peaks for 10° ≤ 2θ ≤ 90°, in order of rising 2θ:
27.70°, d 3.221, intensity 17.4; 30.59°, d 2.922, intensity 19.8; 31.72°, d 2.821, intensity 100.0; 41.73°, d 2.164, intensity 20.2; 48.98°, d 1.860, intensity 18.6; 55.09°, d 1.667, intensity 13.8; 58.86°, d 1.569, intensity 11.8; 59.54°, d 1.553, intensity 11.7

***

No. 5
For Dy3ScSn2, a PBE-relaxed structure gives the calculated powder XRD pattern in this record (CuKα).

Crystal structure
```
Dy3ScSn2
1.0
4.471 0.000 0.000
0.000 4.471 0.000
0.000 0.000 8.327
Dy Sc Sn
3 1 2
direct
0.000 0.000 0.000
0.000 0.500 0.655
0.500 0.000 0.345
0.500 0.500 0.000
0.000 0.500 0.273
0.500 0.000 0.727
```

Top 8 peaks for 10° ≤ 2θ ≤ 90°, in order of rising 2θ:
28.22°, d 3.162, intensity 38.3; 29.31°, d 3.047, intensity 35.6; 30.24°, d 2.956, intensity 89.6; 32.25°, d 2.776, intensity 40.9; 35.66°, d 2.518, intensity 100.0; 40.34°, d 2.236, intensity 68.5; 52.57°, d 1.741, intensity 47.2; 70.31°, d 1.339, intensity 28.1

***

No. 6
For Tb2ZnCu, a PBE-relaxed structure gives the calculated powder XRD pattern in this record (CuKα).

Crystal structure
```
Tb2ZnCu
1.0
3.766 0.000 0.000
-1.883 3.261 0.000
0.000 0.000 24.211
Tb Zn Cu
6 3 3
direct
0.000 0.000 0.244
0.000 0.000 0.756
0.333 0.667 0.422
0.333 0.667 0.911
0.667 0.333 0.089
0.667 0.333 0.578
0.000 0.000 0.000
0.333 0.667 0.667
0.667 0.333 0.333
0.000 0.000 0.500
0.333 0.667 0.167
0.667 0.333 0.833
```

Top 8 peaks for 10° ≤ 2θ ≤ 90°, in order of rising 2θ:
28.34°, d 3.149, intensity 18.4; 31.15°, d 2.871, intensity 100.0; 40.67°, d 2.218, intensity 46.4; 48.34°, d 1.883, intensity 29.6; 58.63°, d 1.575, intensity 16.2; 64.96°, d 1.436, intensity 11.3; 68.12°, d 1.377, intensity 18.3; 79.32°, d 1.208, intensity 13.2

***

- Which formula does entry 5 have?
  Dy3ScSn2

***

- Number 3 is which compound?
  BeZnInNiPd

***

- Which formula does entry 5 have?
  Dy3ScSn2